Record 1
Calculated powder XRD pattern of Li2In2SiS6 for Cu Kα, from a structure optimized by DFT (GGA-PBE).
Intensities are scaled so that the largest is 1000.

Structure:
```
Li2In2SiS6
1.0
6.130 -3.565 0.000
6.130 3.565 0.000
-4.195 0.000 11.507
Li In Si S
4 4 2 12
Direct
0.102 0.898 0.500
0.507 0.910 0.159
0.898 0.102 0.000
0.910 0.507 0.659
0.275 0.413 0.004
0.413 0.275 0.504
0.421 0.619 0.809
0.619 0.421 0.309
0.044 0.503 0.248
0.503 0.044 0.748
0.164 0.625 0.618
0.188 0.225 0.799
0.216 0.700 0.305
0.225 0.188 0.299
0.269 0.762 0.992
0.456 0.945 0.564
0.625 0.164 0.118
0.698 0.751 0.822
0.700 0.216 0.805
0.751 0.698 0.322
0.762 0.269 0.492
0.945 0.456 0.064
```

Main lines, low angle first (2θ = 5–70°):
14.61°, I = 1000
17.71°, I = 479
26.21°, I = 617
29.53°, I = 445
31.91°, I = 370
47.03°, I = 355

---

Record 2
Calculated powder XRD pattern of Cs2HgWSe4 for Cu Kα, from a structure optimized by DFT (GGA-PBE).
Intensities are scaled so that the largest is 1000.

Structure:
```
Cs2HgWSe4
1.0
0.000 6.568 12.667
4.010 0.000 12.667
4.010 6.568 0.000
Cs Hg W Se
4 2 2 8
Direct
0.055 0.055 0.695
0.305 0.305 0.945
0.695 0.695 0.055
0.945 0.945 0.305
0.125 0.125 0.125
0.875 0.875 0.875
0.375 0.375 0.375
0.625 0.625 0.625
0.047 0.598 0.504
0.352 0.504 0.598
0.402 0.953 0.648
0.496 0.648 0.953
0.504 0.352 0.047
0.598 0.047 0.352
0.648 0.496 0.402
0.953 0.402 0.496
```

Main lines, low angle first (2θ = 5–70°):
13.98°, I = 968
15.19°, I = 829
25.07°, I = 993
25.46°, I = 576
26.03°, I = 945
30.74°, I = 1000

---

Please write out number 1 again, unchanged.
Calculated powder XRD pattern of Li2In2SiS6 for Cu Kα, from a structure optimized by DFT (GGA-PBE).
Intensities are scaled so that the largest is 1000.

Structure:
```
Li2In2SiS6
1.0
6.130 -3.565 0.000
6.130 3.565 0.000
-4.195 0.000 11.507
Li In Si S
4 4 2 12
Direct
0.102 0.898 0.500
0.507 0.910 0.159
0.898 0.102 0.000
0.910 0.507 0.659
0.275 0.413 0.004
0.413 0.275 0.504
0.421 0.619 0.809
0.619 0.421 0.309
0.044 0.503 0.248
0.503 0.044 0.748
0.164 0.625 0.618
0.188 0.225 0.799
0.216 0.700 0.305
0.225 0.188 0.299
0.269 0.762 0.992
0.456 0.945 0.564
0.625 0.164 0.118
0.698 0.751 0.822
0.700 0.216 0.805
0.751 0.698 0.322
0.762 0.269 0.492
0.945 0.456 0.064
```

Main lines, low angle first (2θ = 5–70°):
14.61°, I = 1000
17.71°, I = 479
26.21°, I = 617
29.53°, I = 445
31.91°, I = 370
47.03°, I = 355